Starting from a DFT-relaxed cell (GGA-PBE, Alexandria), the powder XRD pattern of Mg14ScAg was calculated for Cu Kα (λ = 1.5418 Å).
No peak broadening, texture or thermal motion is included.

Crystal structure
abc: 6.461 6.461 8.643
angles: 90.00 90.00 90.00
Space group P4/mmm (No. 123)
One atom of each set of equivalent atoms:
Mg: 0.000 0.000 0.000 [1 per cell]
Mg: 0.000 0.500 0.000 [2 per cell]
Mg: 0.000 0.500 0.500 [2 per cell]
Mg: 0.247 0.247 0.255 [8 per cell]
Mg: 0.500 0.500 0.000 [1 per cell]
Sc: 0.500 0.500 0.500 [1 per cell]
Ag: 0.000 0.000 0.500 [1 per cell]

Most intense lines, 2θ from 10° to 90°, by angle:
two_theta	intensity
10.23	21.2
22.01	13.5
34.67	100.0
39.45	34.6
41.81	14.5
57.01	12.0
58.83	20.0
68.48	24.7
71.74	10.6
73.15	10.0

Starting from a DFT-relaxed cell (GGA-PBE, Alexandria), the powder XRD pattern of CsSbTe2Au was calculated for Cu Kα (λ = 1.5418 Å).
No peak broadening, texture or thermal motion is included.

Crystal structure
abc: 8.379 17.486 5.721
angles: 90.00 90.00 90.00
Space group Cmme (No. 67)
One atom of each set of equivalent atoms:
Cs: 0.000 0.250 0.208 [4 per cell]
Sb: 0.250 0.000 0.500 [4 per cell]
Te: 0.000 0.113 0.697 [8 per cell]
Au: 0.000 0.000 0.000 [4 per cell]

Most intense lines, 2θ from 10° to 90°, by angle:
two_theta	intensity
10.12	82.3
21.21	67.3
24.25	100.0
26.37	28.1
28.31	47.6
32.95	35.0
33.51	87.9
39.07	28.2
44.39	34.2
49.67	27.6

Starting from a DFT-relaxed cell (GGA-PBE, Alexandria), the powder XRD pattern of InPt4Rh was calculated for Cu Kα (λ = 1.5418 Å).
No peak broadening, texture or thermal motion is included.

Crystal structure
abc: 8.897 4.018 5.653
angles: 90.00 107.46 90.00
Space group C2/m (No. 12)
One atom of each set of equivalent atoms:
In: 0.000 0.000 0.000 [2 per cell]
Pt: 0.167 0.500 0.339 [4 per cell]
Pt: 0.167 0.500 0.827 [4 per cell]
Rh: 0.000 0.000 0.500 [2 per cell]

Most intense lines, 2θ from 10° to 90°, by angle:
two_theta	intensity
38.95	100.0
44.92	17.6
45.13	16.6
45.80	15.8
65.57	10.9
66.09	10.6
78.82	12.9
79.13	12.9
80.09	12.4
83.64	11.2

Starting from a DFT-relaxed cell (GGA-PBE, Alexandria), the powder XRD pattern of BaCSNCl was calculated for Cu Kα (λ = 1.5418 Å).
No peak broadening, texture or thermal motion is included.

Crystal structure
abc: 5.913 4.674 8.972
angles: 90.00 98.72 90.00
Space group P2_1/m (No. 11)
One atom of each set of equivalent atoms:
Ba: 0.212 0.250 0.303 [2 per cell]
C: 0.390 0.250 0.843 [2 per cell]
S: 0.139 0.250 0.897 [2 per cell]
N: 0.426 0.750 0.195 [2 per cell]
Cl: 0.251 0.750 0.547 [2 per cell]

Most intense lines, 2θ from 10° to 90°, by angle:
two_theta	intensity
16.85	56.5
19.42	44.2
21.49	62.0
24.38	79.9
27.73	100.0
30.21	36.7
30.59	35.6
33.24	55.1
37.28	48.2
38.52	42.6

Starting from a DFT-relaxed cell (GGA-PBE, Alexandria), the powder XRD pattern of CsPa2Cl9 was calculated for Cu Kα (λ = 1.5418 Å).
No peak broadening, texture or thermal motion is included.

Crystal structure
abc: 9.6633 9.6633 4.2379
angles: 90.00 90.00 120.00
Space group P6/mmm (No. 191)
One atom of each set of equivalent atoms:
Cs: 0.0000 0.0000 0.0000 [1 per cell]
Pa: 0.3333 0.6667 0.0000 [2 per cell]
Cl: 0.0000 0.5000 0.0000 [3 per cell]
Cl: 0.2182 0.4364 0.5000 [6 per cell]

Most intense lines, 2θ from 10° to 90°, by angle:
two_theta	intensity
10.57	36.1
18.36	100.0
20.96	18.7
28.01	79.1
35.41	18.3
37.22	30.6
38.64	46.9
43.10	36.2
46.82	18.9
54.73	24.6

Starting from a DFT-relaxed cell (GGA-PBE, Alexandria), the powder XRD pattern of Mn2SeS3 was calculated for Cu Kα (λ = 1.5418 Å).
No peak broadening, texture or thermal motion is included.

Crystal structure
abc: 6.6922 6.6922 19.8700
angles: 90.00 90.00 120.00
Space group R-3m (No. 166, hexagonal axes)
One atom of each set of equivalent atoms:
Mn: 0.0000 0.0000 0.0000 [3 per cell]
Mn: 0.0000 0.5000 0.0000 [9 per cell]
Se: 0.0000 0.0000 0.2560 [6 per cell]
S: 0.0011 0.5005 0.2673 [18 per cell]

Most intense lines, 2θ from 10° to 90°, by angle:
two_theta	intensity
13.37	100.0
17.72	12.3
31.19	14.9
35.88	81.4
44.69	21.4
48.26	26.6
54.88	23.4
56.75	11.5
60.39	11.2
67.32	11.4

Starting from a DFT-relaxed cell (GGA-PBE, Alexandria), the powder XRD pattern of PrDy6Ho3 was calculated for Cu Kα (λ = 1.5418 Å).
No peak broadening, texture or thermal motion is included.

Crystal structure
abc: 9.8033 9.8033 11.7175
angles: 90.00 90.00 120.00
Space group R32 (No. 155, hexagonal axes)
One atom of each set of equivalent atoms:
Pr: 0.0000 0.0000 0.0000 [3 per cell]
Dy: 0.0000 0.3324 0.0000 [9 per cell]
Dy: 0.0000 0.6705 0.5000 [9 per cell]
Ho: 0.0000 0.0000 0.2539 [6 per cell]
Ho: 0.0000 0.0000 0.5000 [3 per cell]

Most intense lines, 2θ from 10° to 90°, by angle:
two_theta	intensity
29.24	67.1
31.62	100.0
32.33	15.1
41.75	14.5
43.60	22.7
54.85	23.2
56.31	19.6
57.32	13.0
66.03	12.1
73.80	9.6

Starting from a DFT-relaxed cell (GGA-PBE, Alexandria), the powder XRD pattern of CeYTmTl was calculated for Cu Kα (λ = 1.5418 Å).
No peak broadening, texture or thermal motion is included.

Crystal structure
abc: 7.742 7.742 7.742
angles: 90.00 90.00 90.00
Space group F-43m (No. 216)
One atom of each set of equivalent atoms:
Ce: 0.000 0.000 0.000 [4 per cell]
Y: 0.000 0.000 0.500 [4 per cell]
Tm: 0.250 0.250 0.750 [4 per cell]
Tl: 0.250 0.250 0.250 [4 per cell]

Most intense lines, 2θ from 10° to 90°, by angle:
two_theta	intensity
19.86	2.0
22.97	6.1
32.72	100.0
40.36	2.0
46.94	18.3
52.89	2.9
58.40	38.3
68.57	11.8
78.07	16.5
87.24	4.3